Record 1
# Mg2SeF
Simulated X-ray diffraction stick pattern, CuKα. Input: a structure optimized by DFT (GGA-PBE).

```
data_Mg2SeF
_cell_length_a 5.409
_cell_length_b 5.409
_cell_length_c 11.519
_cell_angle_alpha 90.00
_cell_angle_beta 90.00
_cell_angle_gamma 90.00
_symmetry_space_group_name_H-M 'I -4 2 d'
_symmetry_Int_Tables_number 122
_symmetry_space_group_name_Hall 'I -4 2bw'
loop_
_atom_site_label
_atom_site_type_symbol
_atom_site_fract_x
_atom_site_fract_y
_atom_site_fract_z
Mg1 Mg 0.185 0.250 0.125
Se1 Se 0.000 0.000 0.500
F1 F 0.000 0.000 0.000
```

Most intense lines, 2θ from 5° to 70°, most intense first:
- d = 3.186 Å, intensity 100
- d = 1.971 Å, intensity 41
- d = 1.640 Å, intensity 23
- d = 4.896 Å, intensity 23
- d = 2.367 Å, intensity 22
- d = 3.131 Å, intensity 21
- d = 1.912 Å, intensity 16
- d = 1.716 Å, intensity 15

---

Record 2
# CdH12C2S2N6Cl4
Simulated X-ray diffraction stick pattern, CuKα. Input: a structure optimized by DFT (GGA-PBE).

```
data_CdH12C2S2N6Cl4
_cell_length_a 7.721
_cell_length_b 8.355
_cell_length_c 12.661
_cell_angle_alpha 90.00
_cell_angle_beta 119.29
_cell_angle_gamma 90.00
_symmetry_space_group_name_H-M 'P 1 21/c 1'
_symmetry_Int_Tables_number 14
loop_
_symmetry_equiv_pos_as_xyz
'x,y,z'
'-x,-y,-z'
'-x,y+1/2,-z+1/2'
'x,-y+1/2,z+1/2'
loop_
_atom_site_label
_atom_site_type_symbol
_atom_site_fract_x
_atom_site_fract_y
_atom_site_fract_z
Cd1 Cd 0.000 0.000 0.000
H1 H 0.188 0.039 0.769
H2 H 0.188 0.177 0.424
H3 H 0.229 0.529 0.945
H4 H 0.265 0.653 0.287
H5 H 0.313 0.649 0.128
H6 H 0.437 0.003 0.843
C1 C 0.255 0.098 0.592
S1 S 0.241 0.225 0.154
N1 N 0.231 0.080 0.481
N2 N 0.295 0.538 0.159
N3 N 0.300 0.537 0.272
Cl1 Cl 0.060 0.632 0.708
Cl2 Cl 0.326 0.653 0.525
```

Most intense lines, 2θ from 5° to 70°, most intense first:
- d = 6.663 Å, intensity 100
- d = 5.919 Å, intensity 81
- d = 6.734 Å, intensity 72
- d = 3.442 Å, intensity 71
- d = 4.165 Å, intensity 62
- d = 3.151 Å, intensity 37
- d = 3.477 Å, intensity 37
- d = 2.687 Å, intensity 31

---

Record 3
# Mn3FeN4
Simulated X-ray diffraction stick pattern, CuKα. Input: a structure optimized by DFT (GGA-PBE).

```
data_Mn3FeN4
_cell_length_a 4.282
_cell_length_b 4.282
_cell_length_c 8.568
_cell_angle_alpha 90.00
_cell_angle_beta 90.00
_cell_angle_gamma 90.00
_symmetry_space_group_name_H-M 'I -4 2 m'
_symmetry_Int_Tables_number 121
_symmetry_space_group_name_Hall 'I -4 2'
loop_
_atom_site_label
_atom_site_type_symbol
_atom_site_fract_x
_atom_site_fract_y
_atom_site_fract_z
Mn1 Mn 0.000 0.000 0.000
Mn2 Mn 0.000 0.500 0.250
Fe1 Fe 0.000 0.000 0.500
N1 N 0.250 0.250 0.376
```

Most intense lines, 2θ from 5° to 70°, most intense first:
- d = 2.473 Å, intensity 100
- d = 1.514 Å, intensity 39
- d = 2.141 Å, intensity 27

---

Record 4
# Ta4Mn7Si6
Simulated X-ray diffraction stick pattern, CuKα. Input: a structure optimized by DFT (GGA-PBE).

```
data_Ta4Mn7Si6
_cell_length_a 7.628
_cell_length_b 7.628
_cell_length_c 7.628
_cell_angle_alpha 90.00
_cell_angle_beta 90.00
_cell_angle_gamma 90.00
_symmetry_space_group_name_H-M 'I m -3 m'
_symmetry_Int_Tables_number 229
_symmetry_space_group_name_Hall '-I 4 2 3'
loop_
_atom_site_label
_atom_site_type_symbol
_atom_site_fract_x
_atom_site_fract_y
_atom_site_fract_z
Ta1 Ta 0.250 0.250 0.250
Mn1 Mn 0.000 0.000 0.000
Mn2 Mn 0.000 0.250 0.500
Si1 Si 0.000 0.000 0.308
```

Most intense lines, 2θ from 5° to 70°, most intense first:
- d = 2.202 Å, intensity 100
- d = 2.697 Å, intensity 84
- d = 1.907 Å, intensity 57
- d = 3.814 Å, intensity 56
- d = 1.349 Å, intensity 33
- d = 1.706 Å, intensity 32
- d = 1.557 Å, intensity 28
- d = 2.039 Å, intensity 9

---

Record 5
# H2PtPb
Simulated X-ray diffraction stick pattern, CuKα. Input: a structure optimized by DFT (GGA-PBE).

```
data_H2PtPb
_cell_length_a 6.3418
_cell_length_b 6.3418
_cell_length_c 5.0454
_cell_angle_alpha 90.00
_cell_angle_beta 90.00
_cell_angle_gamma 120.00
_symmetry_space_group_name_H-M 'P 31 2 1'
_symmetry_Int_Tables_number 152
loop_
_symmetry_equiv_pos_as_xyz
'x,y,z'
'-y,x-y,z+1/3'
'-x+y,-x,z+2/3'
'y,x,-z'
'x-y,-y,-z+2/3'
'-x,-x+y,-z+1/3'
loop_
_atom_site_label
_atom_site_type_symbol
_atom_site_fract_x
_atom_site_fract_y
_atom_site_fract_z
H1 H 0.2001 0.5019 0.4051
Pt1 Pt 0.0000 0.5143 0.1667
Pb1 Pb 0.0000 0.7295 0.6667
```

Most intense lines, 2θ from 5° to 70°, most intense first:
- d = 3.171 Å, intensity 100
- d = 2.292 Å, intensity 93
- d = 2.685 Å, intensity 91
- d = 1.920 Å, intensity 89
- d = 3.716 Å, intensity 80
- d = 2.412 Å, intensity 34
- d = 2.076 Å, intensity 25
- d = 1.434 Å, intensity 24

---

Record 6
# SnP7Au3
Simulated X-ray diffraction stick pattern, CuKα. Input: a structure optimized by DFT (GGA-PBE).

```
data_SnP7Au3
_cell_length_a 6.380
_cell_length_b 11.132
_cell_length_c 6.518
_cell_angle_alpha 90.00
_cell_angle_beta 108.82
_cell_angle_gamma 90.00
_symmetry_space_group_name_H-M 'P 1 21/m 1'
_symmetry_Int_Tables_number 11
loop_
_symmetry_equiv_pos_as_xyz
'x,y,z'
'-x,-y,-z'
'-x,y+1/2,-z'
'x,-y+1/2,z'
loop_
_atom_site_label
_atom_site_type_symbol
_atom_site_fract_x
_atom_site_fract_y
_atom_site_fract_z
Sn1 Sn 0.189 0.250 0.460
P1 P 0.220 0.592 0.305
P2 P 0.238 0.750 0.783
P3 P 0.299 0.088 0.210
P4 P 0.335 0.579 0.665
Au1 Au 0.185 0.098 0.813
Au2 Au 0.427 0.750 0.181
```

Most intense lines, 2θ from 5° to 70°, most intense first:
- d = 3.028 Å, intensity 100
- d = 5.396 Å, intensity 57
- d = 2.914 Å, intensity 24
- d = 1.875 Å, intensity 21
- d = 2.042 Å, intensity 20
- d = 2.973 Å, intensity 19
- d = 3.085 Å, intensity 18
- d = 5.308 Å, intensity 18

---

Record 7
# SrZn5I12
Simulated X-ray diffraction stick pattern, CuKα. Input: a structure optimized by DFT (GGA-PBE).

```
data_SrZn5I12
_cell_length_a 7.265
_cell_length_b 7.778
_cell_length_c 16.679
_cell_angle_alpha 95.59
_cell_angle_beta 95.18
_cell_angle_gamma 115.61
_symmetry_space_group_name_H-M 'P -1'
_symmetry_Int_Tables_number 2
loop_
_symmetry_equiv_pos_as_xyz
'x,y,z'
'-x,-y,-z'
loop_
_atom_site_label
_atom_site_type_symbol
_atom_site_fract_x
_atom_site_fract_y
_atom_site_fract_z
Sr1 Sr 0.000 0.000 0.000
Zn1 Zn 0.000 0.000 0.500
Zn2 Zn 0.252 0.680 0.552
Zn3 Zn 0.297 0.527 0.931
I1 I 0.005 0.217 0.843
I2 I 0.045 0.637 0.403
I3 I 0.233 0.997 0.625
I4 I 0.291 0.841 0.896
I5 I 0.329 0.462 0.089
I6 I 0.373 0.259 0.411
```

Most intense lines, 2θ from 5° to 70°, most intense first:
- d = 8.209 Å, intensity 100
- d = 3.685 Å, intensity 84
- d = 3.598 Å, intensity 72
- d = 4.104 Å, intensity 49
- d = 3.383 Å, intensity 42
- d = 3.503 Å, intensity 42
- d = 2.096 Å, intensity 24
- d = 2.047 Å, intensity 23

---

Record 8
# Dy7Tl2Ga2
Simulated X-ray diffraction stick pattern, CuKα. Input: a structure optimized by DFT (GGA-PBE).

```
data_Dy7Tl2Ga2
_cell_length_a 7.517
_cell_length_b 10.887
_cell_length_c 7.943
_cell_angle_alpha 90.00
_cell_angle_beta 90.00
_cell_angle_gamma 90.00
_symmetry_space_group_name_H-M 'C m m m'
_symmetry_Int_Tables_number 65
_symmetry_space_group_name_Hall '-C 2 2'
loop_
_atom_site_label
_atom_site_type_symbol
_atom_site_fract_x
_atom_site_fract_y
_atom_site_fract_z
Dy1 Dy 0.000 0.000 0.000
Dy2 Dy 0.000 0.500 0.283
Dy3 Dy 0.250 0.250 0.298
Tl1 Tl 0.000 0.300 0.000
Ga1 Ga 0.169 0.000 0.500
```

Most intense lines, 2θ from 5° to 70°, most intense first:
- d = 2.440 Å, intensity 100
- d = 2.524 Å, intensity 64
- d = 3.397 Å, intensity 57
- d = 2.722 Å, intensity 54
- d = 3.093 Å, intensity 40
- d = 3.022 Å, intensity 33
- d = 2.648 Å, intensity 31
- d = 3.342 Å, intensity 31

---

Record 9
# TiBe2H
Simulated X-ray diffraction stick pattern, CuKα. Input: a structure optimized by DFT (GGA-PBE).

Cell lengths 6.651, 6.651, 6.651 Å; angles 90.00, 90.00, 90.00 degrees
Space group Fd-3m (No. 227, origin choice 2)
Symmetry-distinct sites (fractional):
Ti1 0.125 0.125 0.125 (multiplicity 8)
Be1 0.000 0.000 0.500 (multiplicity 16)
H1 0.125 0.125 0.625 (multiplicity 8)

Most intense lines, 2θ from 5° to 70°, most intense first:
- d = 2.351 Å, intensity 100
- d = 2.005 Å, intensity 75
- d = 3.840 Å, intensity 72
- d = 1.358 Å, intensity 28
- d = 1.526 Å, intensity 14
- d = 1.663 Å, intensity 9
- d = 1.920 Å, intensity 2